No. 1
The following is a calculated powder XRD pattern of Pr6Nd7Tm16. It was derived from a GGA-PBE-relaxed structure, using a wavelength of 1.5418 Å.
Lines closer than 0.1° are merged.

Largest 10 diffraction maxima, in order of rising 2θ, 2θ from 10° to 90°:
d (Å), 2θ/deg, I (rel.), index
3.556, 25.04, 71, 4 2 0
3.060, 29.18, 81, 3 3 3
2.811, 31.83, 1000, 4 4 0
2.688, 33.33, 68, 5 3 1
2.650, 33.82, 71, 6 0 0
2.205, 40.93, 58, 6 4 0
1.988, 45.64, 135, 8 0 0
1.623, 56.72, 257, 8 4 4
1.406, 66.53, 72, 8 8 0
1.257, 75.65, 65, 12 4 0

Cell and atoms:
```
data_Pr6Nd7Tm16
_symmetry_space_group_name_H-M 'F m -3 m'
_symmetry_Int_Tables_number 225
_symmetry_space_group_name_Hall '-F 4 2 3'
_cell_length_a 15.902
_cell_length_b 15.902
_cell_length_c 15.902
_cell_angle_alpha 90.00
_cell_angle_beta 90.00
_cell_angle_gamma 90.00
loop_
_atom_site_label
_atom_site_fract_x
_atom_site_fract_y
_atom_site_fract_z
Pr1 0.000 0.000 0.236
Nd1 0.000 0.000 0.500
Nd2 0.000 0.250 0.250
Tm1 0.129 0.129 0.371
Tm2 0.152 0.152 0.152
```

***

No. 2
The following is a calculated powder XRD pattern of La3Dy3Th2. It was derived from a GGA-PBE-relaxed structure, using a wavelength of 1.5418 Å.
Lines closer than 0.1° are merged.

Largest 10 diffraction maxima, in order of rising 2θ, 2θ from 10° to 90°:
d (Å), 2θ/deg, I (rel.), index
2.963, 30.16, 1000, 1 -1 2
2.954, 30.25, 502, 0 2 -1
2.936, 30.45, 494, 2 0 -1
2.570, 34.91, 344, 2 -2 0
2.552, 35.16, 668, 1 1 1
1.814, 50.31, 240, 1 -3 3
1.807, 50.52, 241, 3 -1 1
1.550, 59.64, 148, 2 -4 1
1.543, 59.97, 213, -4 2 1
1.539, 60.13, 143, 1 3 0

Cell and atoms:
```
data_La3Dy3Th2
_symmetry_space_group_name_H-M 'P -1'
_symmetry_Int_Tables_number 2
_cell_length_a 6.252
_cell_length_b 6.291
_cell_length_c 8.090
_cell_angle_alpha 104.76
_cell_angle_beta 104.66
_cell_angle_gamma 110.10
loop_
_symmetry_equiv_pos_as_xyz
'x,y,z'
'-x,-y,-z'
loop_
_atom_site_label
_atom_site_fract_x
_atom_site_fract_y
_atom_site_fract_z
La1 0.000 0.000 0.000
La2 0.134 0.633 0.267
Dy1 0.373 0.873 0.746
Dy2 0.500 0.500 0.000
Th1 0.253 0.252 0.506
```